The following is a simulated powder X-ray diffraction pattern of Rb4Cd2Au5. It was derived from a crystal structure in Alexandria, relaxed with GGA-PBE, using Cu Kα.

Atomic structure:
```
data_Rb4Cd2Au5
_chemical_formula_sum 'Rb16 Cd8 Au20'
_cell_length_a 10.1820
_cell_length_b 22.7638
_cell_length_c 5.8745
_cell_angle_alpha 90.00
_cell_angle_beta 90.00
_cell_angle_gamma 90.00
_space_group_name_H-M_alt 'I b a m'
_space_group_IT_number 72
_space_group_name_Hall '-I 2 2c'
loop_
_atom_site_label
_atom_site_type_symbol
_atom_site_fract_x
_atom_site_fract_y
_atom_site_fract_z
_atom_site_occupancy
Rb1 Rb 0.1163 0.1446 0.0000 1
Rb2 Rb 0.2133 0.4466 0.0000 1
Cd1 Cd 0.0000 0.2877 0.2500 1
Au1 Au 0.0000 0.0000 0.2500 1
Au2 Au 0.0737 0.3941 0.5000 1
Au3 Au 0.2181 0.2306 0.5000 1
```

Peak list (8 most intense, 2θ from 10° to 90°, by angle)
- hkl 1 3 0, d = 6.084 Å, 14.6 deg, rel. 39
- hkl 3 3 0, d = 3.098 Å, 28.8 deg, rel. 51
- hkl 1 6 1, d = 3.042 Å, 29.4 deg, rel. 67
- hkl 3 2 1, d = 2.845 Å, 31.4 deg, rel. 66
- hkl 2 0 2, d = 2.544 Å, 35.3 deg, rel. 28
- hkl 2 7 1, d = 2.483 Å, 36.2 deg, rel. 33
- hkl 2 4 2, d = 2.323 Å, 38.8 deg, rel. 100
- hkl 4 3 1, d = 2.232 Å, 40.4 deg, rel. 32